For LiLa3Ru, a structure optimized by DFT (PBE) gives the simulated powder X-ray diffraction pattern in this record (Cu Kα X-rays).

Structure:
Unit cell a=7.755 b=7.755 c=6.165 alpha=94.66 beta=94.66 gamma=60.13
Atoms (fractional coordinates):
Li  0.160  0.160  0.251
Li  0.840  0.840  0.749
La  0.149  0.674  0.234
La  0.325  0.325  0.716
La  0.326  0.851  0.766
La  0.674  0.149  0.234
La  0.675  0.675  0.284
La  0.851  0.326  0.766
Ru  0.500  0.500  0.000
Ru  0.500  0.500  0.500

Main lines, by angle (10° ≤ 2θ ≤ 90°):
2θ (°)	I (rel.)
13.20	100
20.05	25
29.10	21
29.21	31
29.71	60
30.95	51
31.67	23
35.48	28
38.80	20
47.03	36



For MnHPdAu, a structure optimized by DFT (PBE) gives the simulated powder X-ray diffraction pattern in this record (Cu Kα X-rays).

Structure:
Unit cell a=2.853 b=2.853 c=12.218 alpha=90.00 beta=90.00 gamma=90.00
Atoms (fractional coordinates):
Mn  0.000  0.000  0.000
Mn  0.500  0.500  0.500
H  0.000  0.000  0.485
H  0.500  0.500  0.985
Pd  0.000  0.000  0.341
Pd  0.500  0.500  0.841
Au  0.000  0.000  0.670
Au  0.500  0.500  0.170

Main lines, by angle (10° ≤ 2θ ≤ 90°):
2θ (°)	I (rel.)
14.50	25
32.22	21
38.53	100
44.49	17
44.93	33
65.08	21
65.42	10
77.94	12
78.56	26
82.57	11